Record 1
Pm3Pd7Au2: simulated powder diffractogram (Cu Kα), based on a DFT-relaxed cell (GGA-PBE, Alexandria).

Atomic structure:
```
data_Pm3Pd7Au2
_chemical_formula_sum 'Pm9 Pd21 Au6'
_symmetry_space_group_name_H-M 'R -3 m'
_symmetry_Int_Tables_number 166
_symmetry_space_group_name_Hall '-R 3 2"'
_cell_length_a 5.4930
_cell_length_b 5.4930
_cell_length_c 26.9826
_cell_angle_alpha 90.00
_cell_angle_beta 90.00
_cell_angle_gamma 120.00
loop_
_atom_site_label
_atom_site_type_symbol
_atom_site_fract_x
_atom_site_fract_y
_atom_site_fract_z
_atom_site_occupancy
Pm1 Pm 0.0000 0.0000 0.0000 1
Pm2 Pm 0.0000 0.0000 0.1387 1
Pd1 Pd 0.0000 0.0000 0.5000 1
Pd2 Pd 0.0037 0.5018 0.9143 1
Au1 Au 0.0000 0.0000 0.3336 1
```

Main lines, in order of rising 2θ (2θ from 10° to 90°):
2theta, I/Imax
29.82, 16
32.59, 47
37.98, 16
38.40, 100
40.10, 17
40.20, 13
41.46, 40
44.76, 14
61.63, 13
62.06, 24
68.30, 21
82.27, 14


Record 2
Pm3Pd2Au7: simulated powder diffractogram (Cu Kα), based on a DFT-relaxed cell (GGA-PBE, Alexandria).

Atomic structure:
```
data_Pm3Pd2Au7
_chemical_formula_sum 'Pm6 Pd4 Au14'
_symmetry_space_group_name_H-M 'C m m m'
_symmetry_Int_Tables_number 65
_symmetry_space_group_name_Hall '-C 2 2'
_cell_length_a 4.268
_cell_length_b 30.926
_cell_length_c 3.976
_cell_angle_alpha 90.00
_cell_angle_beta 90.00
_cell_angle_gamma 90.00
loop_
_atom_site_label
_atom_site_type_symbol
_atom_site_fract_x
_atom_site_fract_y
_atom_site_fract_z
_atom_site_occupancy
Pm1 Pm 0.000 0.000 0.000 1
Pm2 Pm 0.000 0.176 0.000 1
Pd1 Pd 0.000 0.363 0.500 1
Au1 Au 0.000 0.079 0.500 1
Au2 Au 0.000 0.277 0.500 1
Au3 Au 0.000 0.425 0.000 1
Au4 Au 0.000 0.500 0.500 1
```

Main lines, in order of rising 2θ (2θ from 10° to 90°):
2theta, I/Imax
31.96, 11
32.30, 12
34.06, 100
34.81, 11
37.00, 41
38.34, 16
40.63, 21
40.85, 12
42.36, 31
45.63, 25
64.01, 18
72.16, 12


Record 3
PmPdRhAu: simulated powder diffractogram (Cu Kα), based on a DFT-relaxed cell (GGA-PBE, Alexandria).

Atomic structure:
```
data_PmPdRhAu
_chemical_formula_sum 'Pm1 Pd1 Rh1 Au1'
_symmetry_space_group_name_H-M 'P m m m'
_symmetry_Int_Tables_number 47
_symmetry_space_group_name_Hall '-P 2 2'
_cell_length_a 3.977
_cell_length_b 4.275
_cell_length_c 4.370
_cell_angle_alpha 90.00
_cell_angle_beta 90.00
_cell_angle_gamma 90.00
loop_
_atom_site_label
_atom_site_type_symbol
_atom_site_fract_x
_atom_site_fract_y
_atom_site_fract_z
_atom_site_occupancy
Pm1 Pm 0.000 0.000 0.000 1
Pd1 Pd 0.500 0.000 0.500 1
Rh1 Rh 0.500 0.500 0.000 1
Au1 Au 0.000 0.500 0.500 1
```

Main lines, in order of rising 2θ (2θ from 10° to 90°):
2theta, I/Imax
29.22, 5
37.10, 100
41.32, 19
42.28, 17
45.62, 14
60.60, 12
63.23, 10
63.95, 10
72.57, 14
73.91, 13
78.68, 11
79.03, 11


Record 4
Pm3Si6Pd2Au: simulated powder diffractogram (Cu Kα), based on a DFT-relaxed cell (GGA-PBE, Alexandria).

Atomic structure:
```
data_Pm3Si6Pd2Au
_chemical_formula_sum 'Pm3 Si6 Pd2 Au1'
_symmetry_space_group_name_H-M 'P -3 m 1'
_symmetry_Int_Tables_number 164
_symmetry_space_group_name_Hall '-P 3 2"'
_cell_length_a 5.7870
_cell_length_b 5.7870
_cell_length_c 8.2779
_cell_angle_alpha 90.00
_cell_angle_beta 90.00
_cell_angle_gamma 120.00
loop_
_atom_site_label
_atom_site_type_symbol
_atom_site_fract_x
_atom_site_fract_y
_atom_site_fract_z
_atom_site_occupancy
Pm1 Pm 0.0000 0.0000 0.0000 1
Pm2 Pm 0.3333 0.6667 0.6103 1
Si1 Si 0.1928 0.3856 0.2745 1
Pd1 Pd 0.3333 0.6667 0.0233 1
Au1 Au 0.0000 0.0000 0.5000 1
```

Main lines, in order of rising 2θ (2θ from 10° to 90°):
2theta, I/Imax
21.47, 23
27.96, 50
30.90, 100
37.20, 17
37.94, 74
42.16, 26
47.54, 19
53.18, 15
54.96, 19
59.69, 21
64.40, 18
66.97, 17